Starting from a crystal structure in Alexandria, relaxed with PBE, the powder diffraction line list of Nd3Ho8Sc4 was calculated for Cu Kα X-rays.
Neutral-atom scattering factors, no anomalous dispersion.

Structural model:
Cell: 8.854 8.854 6.611 Å, 108.83 108.83 84.57°
Sites, in units of the cell vectors:
Nd  0.000  0.000  0.000
Nd  0.000  0.500  0.500
Nd  0.500  0.000  0.500
Ho  0.202  0.202  0.663
Ho  0.207  0.793  0.500
Ho  0.260  0.740  0.000
Ho  0.267  0.267  0.191
Ho  0.733  0.733  0.809
Ho  0.740  0.260  0.000
Ho  0.793  0.207  0.500
Ho  0.798  0.798  0.337
Sc  0.000  0.500  0.000
Sc  0.500  0.000  0.000
Sc  0.500  0.500  0.000
Sc  0.500  0.500  0.500

Peak list (10 most intense, 2θ from 5° to 70°, in order of rising 2θ)
21.2°, intensity 48
27.1°, intensity 33
28.6°, intensity 21
30.0°, intensity 100
30.3°, intensity 72
31.2°, intensity 26
32.1°, intensity 18
33.7°, intensity 53
35.5°, intensity 48
43.2°, intensity 44

***

Starting from a crystal structure in Alexandria, relaxed with PBE, the powder diffraction line list of Sm6Al7 was calculated for Cu Kα X-rays.
Neutral-atom scattering factors, no anomalous dispersion.

Structural model:
Cell: 11.148 11.148 11.148 Å, 29.90 29.90 29.90°
Sites, in units of the cell vectors:
Sm  0.051  0.051  0.051
Sm  0.148  0.148  0.148
Sm  0.335  0.335  0.335
Sm  0.665  0.665  0.665
Sm  0.852  0.852  0.852
Sm  0.949  0.949  0.949
Al  0.089  0.599  0.599
Al  0.401  0.401  0.911
Al  0.401  0.911  0.401
Al  0.500  0.500  0.500
Al  0.599  0.089  0.599
Al  0.599  0.599  0.089
Al  0.911  0.401  0.401

Peak list (10 most intense, 2θ from 5° to 70°, in order of rising 2θ)
18.0°, intensity 28
21.0°, intensity 23
31.1°, intensity 100
33.3°, intensity 69
35.5°, intensity 46
35.8°, intensity 42
55.3°, intensity 20
56.8°, intensity 30
58.4°, intensity 20
64.8°, intensity 19

***

Starting from a crystal structure in Alexandria, relaxed with PBE, the powder diffraction line list of Rb3Hg3Pd was calculated for Cu Kα X-rays.
Neutral-atom scattering factors, no anomalous dispersion.

Structural model:
Cell: 11.414 11.414 14.532 Å, 90.00 90.00 37.38°
Sites, in units of the cell vectors:
Rb  0.011  0.325  0.364
Rb  0.175  0.489  0.136
Rb  0.228  0.772  0.820
Rb  0.272  0.728  0.320
Rb  0.325  0.011  0.636
Rb  0.489  0.175  0.864
Rb  0.511  0.825  0.136
Rb  0.675  0.989  0.364
Rb  0.728  0.272  0.680
Rb  0.772  0.228  0.180
Rb  0.825  0.511  0.864
Rb  0.989  0.675  0.636
Hg  0.014  0.309  0.098
Hg  0.184  0.816  0.564
Hg  0.191  0.486  0.402
Hg  0.309  0.014  0.902
Hg  0.316  0.684  0.064
Hg  0.486  0.191  0.598
Hg  0.514  0.809  0.402
Hg  0.684  0.316  0.936
Hg  0.691  0.986  0.098
Hg  0.809  0.514  0.598
Hg  0.816  0.184  0.436
Hg  0.986  0.691  0.902
Pd  0.064  0.064  0.000
Pd  0.436  0.436  0.500
Pd  0.564  0.564  0.500
Pd  0.936  0.936  0.000

Peak list (10 most intense, 2θ from 5° to 70°, in order of rising 2θ)
12.2°, intensity 68
21.2°, intensity 41
24.7°, intensity 95
25.1°, intensity 52
30.1°, intensity 100
30.6°, intensity 62
34.9°, intensity 34
35.1°, intensity 42
35.5°, intensity 62
39.7°, intensity 60